[1]
Diffraction record for PrFeSb2. The X-ray diffraction stick pattern is computed, not measured: it uses a GGA-PBE-relaxed structure and Cu Ka.
Peak positions follow from Bragg's law for the DFT cell and can differ from measured ones.

Largest 10 diffraction maxima, in order of rising 2θ, 15 to 90 degrees two-theta:
2theta	intensity
27.11	20
30.34	28
33.80	44
34.15	100
41.43	52
50.08	18
54.50	22
60.04	17
66.94	19
70.91	23

Cell and atoms:
```
data_PrFeSb2
_cell_length_a 4.3586
_cell_length_b 4.3586
_cell_length_c 10.0242
_cell_angle_alpha 90.00
_cell_angle_beta 90.00
_cell_angle_gamma 90.00
_symmetry_space_group_name_H-M 'P 4/n m m'
_symmetry_Int_Tables_number 129
loop_
_symmetry_equiv_pos_as_xyz
'x,y,z'
'-x,-y,-z'
'-y+1/2,x,z'
'y+1/2,-x,-z'
'-x+1/2,-y+1/2,z'
'x+1/2,y+1/2,-z'
'y,-x+1/2,z'
'-y,x+1/2,-z'
'x+1/2,-y,-z'
'-x+1/2,y,z'
'-y,-x,-z'
'y,x,z'
'-x,y+1/2,-z'
'x,-y+1/2,z'
'y+1/2,x+1/2,-z'
'-y+1/2,-x+1/2,z'
loop_
_atom_site_label
_atom_site_type_symbol
_atom_site_fract_x
_atom_site_fract_y
_atom_site_fract_z
Pr1 Pr 0.2500 0.2500 0.2432
Fe1 Fe 0.2500 0.7500 0.0000
Sb1 Sb 0.2500 0.2500 0.8688
Sb2 Sb 0.2500 0.7500 0.5000
```

[2]
Diffraction record for Ba2NpAlTe5. The X-ray diffraction stick pattern is computed, not measured: it uses a GGA-PBE-relaxed structure and Cu Ka.
Peak positions follow from Bragg's law for the DFT cell and can differ from measured ones.

Largest 10 diffraction maxima, in order of rising 2θ, 15 to 90 degrees two-theta:
2theta	intensity
15.11	12
26.80	43
27.45	100
31.92	42
38.83	15
39.61	22
41.16	11
44.67	20
48.47	18
56.70	11

Cell and atoms:
```
data_Ba2NpAlTe5
_cell_length_a 4.5507
_cell_length_b 20.5205
_cell_length_c 14.2929
_cell_angle_alpha 90.00
_cell_angle_beta 90.00
_cell_angle_gamma 90.00
_symmetry_space_group_name_H-M 'C m c 21'
_symmetry_Int_Tables_number 36
_symmetry_space_group_name_Hall 'C 2c -2'
loop_
_atom_site_label
_atom_site_type_symbol
_atom_site_fract_x
_atom_site_fract_y
_atom_site_fract_z
Ba1 Ba 0.0000 0.1213 0.0000
Ba2 Ba 0.0000 0.1231 0.6411
Np1 Np 0.0000 0.2014 0.3375
Al1 Al 0.0000 0.4371 0.7427
Te1 Te 0.0000 0.0435 0.3465
Te2 Te 0.0000 0.2975 0.9848
Te3 Te 0.0000 0.3125 0.6827
Te4 Te 0.0000 0.3512 0.3218
Te5 Te 0.0000 0.4989 0.5840
```

[3]
Diffraction record for SmNb4. The X-ray diffraction stick pattern is computed, not measured: it uses a GGA-PBE-relaxed structure and Cu Ka.
Peak positions follow from Bragg's law for the DFT cell and can differ from measured ones.

Largest 10 diffraction maxima, in order of rising 2θ, 15 to 90 degrees two-theta:
2theta	intensity
18.10	46
25.71	40
31.62	39
36.67	100
41.19	23
45.33	17
52.84	69
62.90	15
66.04	23
89.41	31

Cell and atoms:
```
data_SmNb4
_cell_length_a 4.9008
_cell_length_b 4.9008
_cell_length_c 4.9008
_cell_angle_alpha 90.00
_cell_angle_beta 90.00
_cell_angle_gamma 90.00
_symmetry_space_group_name_H-M 'P m -3 m'
_symmetry_Int_Tables_number 221
_symmetry_space_group_name_Hall '-P 4 2 3'
loop_
_atom_site_label
_atom_site_type_symbol
_atom_site_fract_x
_atom_site_fract_y
_atom_site_fract_z
Sm1 Sm 0.0000 0.0000 0.0000
Nb1 Nb 0.0000 0.0000 0.5000
Nb2 Nb 0.5000 0.5000 0.5000
```

[4]
Diffraction record for Pu2AlGa4. The X-ray diffraction stick pattern is computed, not measured: it uses a GGA-PBE-relaxed structure and Cu Ka.
Peak positions follow from Bragg's law for the DFT cell and can differ from measured ones.

Largest 10 diffraction maxima, in order of rising 2θ, 15 to 90 degrees two-theta:
2theta	intensity
20.07	100
31.34	91
32.59	31
36.23	50
36.90	96
38.62	67
40.76	46
47.34	37
55.66	20
61.04	35

Cell and atoms:
```
data_Pu2AlGa4
_cell_length_a 5.5925
_cell_length_b 9.9179
_cell_length_c 10.5653
_cell_angle_alpha 90.00
_cell_angle_beta 90.00
_cell_angle_gamma 90.00
_symmetry_space_group_name_H-M 'F m m m'
_symmetry_Int_Tables_number 69
_symmetry_space_group_name_Hall '-F 2 2'
loop_
_atom_site_label
_atom_site_type_symbol
_atom_site_fract_x
_atom_site_fract_y
_atom_site_fract_z
Pu1 Pu 0.0000 0.0000 0.1404
Al1 Al 0.0000 0.0000 0.5000
Ga1 Ga 0.2500 0.2500 0.0000
Ga2 Ga 0.2500 0.2500 0.2500
```

[5]
Diffraction record for NdSmZnCd. The X-ray diffraction stick pattern is computed, not measured: it uses a GGA-PBE-relaxed structure and Cu Ka.
Peak positions follow from Bragg's law for the DFT cell and can differ from measured ones.

Largest 10 diffraction maxima, in order of rising 2θ, 15 to 90 degrees two-theta:
2theta	intensity
23.97	6
33.68	100
34.16	50
47.66	8
49.08	18
59.93	16
60.85	35
70.82	10
81.84	8
82.11	8

Cell and atoms:
```
data_NdSmZnCd
_cell_length_a 3.7120
_cell_length_b 3.7120
_cell_length_c 7.6326
_cell_angle_alpha 90.00
_cell_angle_beta 90.00
_cell_angle_gamma 90.00
_symmetry_space_group_name_H-M 'P 4 m m'
_symmetry_Int_Tables_number 99
_symmetry_space_group_name_Hall 'P 4 -2'
loop_
_atom_site_label
_atom_site_type_symbol
_atom_site_fract_x
_atom_site_fract_y
_atom_site_fract_z
Nd1 Nd 0.0000 0.0000 0.0000
Sm1 Sm 0.0000 0.0000 0.4606
Zn1 Zn 0.5000 0.5000 0.2365
Cd1 Cd 0.5000 0.5000 0.7249
```

[6]
Diffraction record for Sc3Ga9Co2. The X-ray diffraction stick pattern is computed, not measured: it uses a GGA-PBE-relaxed structure and Cu Ka.
Peak positions follow from Bragg's law for the DFT cell and can differ from measured ones.

Largest 10 diffraction maxima, in order of rising 2θ, 15 to 90 degrees two-theta:
2theta	intensity
36.11	38
36.24	37
37.12	100
38.91	38
39.46	49
44.19	67
45.37	57
46.33	23
48.01	66
73.15	33

Cell and atoms:
```
data_Sc3Ga9Co2
_cell_length_a 4.0993
_cell_length_b 9.3373
_cell_length_c 11.7591
_cell_angle_alpha 90.00
_cell_angle_beta 90.00
_cell_angle_gamma 90.00
_symmetry_space_group_name_H-M 'I m m m'
_symmetry_Int_Tables_number 71
_symmetry_space_group_name_Hall '-I 2 2'
loop_
_atom_site_label
_atom_site_type_symbol
_atom_site_fract_x
_atom_site_fract_y
_atom_site_fract_z
Sc1 Sc 0.0000 0.0000 0.0000
Sc2 Sc 0.0000 0.0000 0.3011
Ga1 Ga 0.0000 0.2862 0.1338
Ga2 Ga 0.0000 0.3654 0.3532
Ga3 Ga 0.0000 0.5000 0.0000
Co1 Co 0.0000 0.1675 0.5000
```